Entry 1:
For Ca15NiIr4O24, a crystal structure in Alexandria, relaxed with PBE+U gives the simulated powder diffractogram in this record (Cu Kα (weighted mean of Kα1 and Kα2)).
No peak broadening, texture or thermal motion is included.

Structural model:
abc: 6.584 9.378 9.232
angles: 90.00 91.42 90.00
Fractional coordinates of all 44 atoms:
Ca: 0.000 0.000 0.000
Ca: 0.000 0.135 0.500
Ca: 0.000 0.494 0.500
Ca: 0.000 0.635 0.000
Ca: 0.138 0.815 0.680
Ca: 0.146 0.313 0.177
Ca: 0.361 0.955 0.314
Ca: 0.364 0.452 0.823
Ca: 0.500 0.273 0.500
Ca: 0.500 0.635 0.500
Ca: 0.500 0.781 0.000
Ca: 0.636 0.452 0.177
Ca: 0.639 0.955 0.686
Ca: 0.854 0.313 0.823
Ca: 0.862 0.815 0.320
Ni: 0.500 0.133 0.000
Ir: 0.250 0.635 0.250
Ir: 0.252 0.136 0.752
Ir: 0.748 0.136 0.248
Ir: 0.750 0.635 0.750
O: 0.046 0.073 0.259
O: 0.047 0.569 0.758
O: 0.172 0.811 0.132
O: 0.183 0.310 0.627
O: 0.193 0.746 0.435
O: 0.209 0.245 0.939
O: 0.305 0.524 0.065
O: 0.307 0.023 0.567
O: 0.328 0.456 0.368
O: 0.328 0.970 0.884
O: 0.452 0.192 0.224
O: 0.454 0.704 0.742
O: 0.546 0.704 0.258
O: 0.548 0.192 0.776
O: 0.672 0.456 0.632
O: 0.672 0.970 0.116
O: 0.693 0.023 0.433
O: 0.695 0.524 0.935
O: 0.791 0.245 0.061
O: 0.807 0.746 0.565
O: 0.817 0.310 0.373
O: 0.828 0.811 0.868
O: 0.953 0.569 0.242
O: 0.954 0.073 0.741

Most intense lines, 2θ = 10–90°, low angle first:
18.91 deg, 4.693 Å, I 100
19.24 deg, 4.613 Å, I 74
27.11 deg, 3.290 Å, I 21
33.06 deg, 2.709 Å, I 75
33.84 deg, 2.649 Å, I 20
39.05 deg, 2.307 Å, I 32
43.26 deg, 2.091 Å, I 26
43.73 deg, 2.070 Å, I 52
52.07 deg, 1.756 Å, I 20
59.56 deg, 1.552 Å, I 23

---

Entry 2:
For V2CrMoO6, a crystal structure in Alexandria, relaxed with PBE+U gives the simulated powder diffractogram in this record (Cu Kα (weighted mean of Kα1 and Kα2)).
No peak broadening, texture or thermal motion is included.

Structural model:
abc: 5.595 5.595 5.595
angles: 55.74 55.74 55.74
Fractional coordinates of all 10 atoms:
V: 0.000 0.000 0.000
V: 0.498 0.498 0.498
Cr: 0.698 0.698 0.698
Mo: 0.201 0.201 0.201
O: 0.101 0.406 0.785
O: 0.299 0.889 0.615
O: 0.406 0.785 0.101
O: 0.615 0.299 0.889
O: 0.785 0.101 0.406
O: 0.889 0.615 0.299

Most intense lines, 2θ = 10–90°, low angle first:
23.33 deg, 3.813 Å, I 59
32.13 deg, 2.785 Å, I 100
34.29 deg, 2.615 Å, I 90
39.41 deg, 2.286 Å, I 25
47.70 deg, 1.907 Å, I 40
52.28 deg, 1.750 Å, I 71
60.05 deg, 1.541 Å, I 35
61.40 deg, 1.510 Å, I 37
69.72 deg, 1.349 Å, I 16
84.81 deg, 1.143 Å, I 15